Entry 1:
Starting from a structure optimized by DFT (GGA-PBE), the X-ray powder pattern of SnPd4Pb was computed for copper Kα.
Peak positions follow from Bragg's law for the DFT cell and can differ from measured ones.

Largest 10 diffraction maxima, low angle first, 5° ≤ 2θ ≤ 70°:
- 30.61°, rel. 28
- 34.78°, rel. 20
- 35.17°, rel. 21
- 36.55°, rel. 30
- 36.66°, rel. 30
- 37.03°, rel. 28
- 39.86°, rel. 100
- 40.67°, rel. 47
- 44.95°, rel. 21
- 63.70°, rel. 25

a = 5.467 Å, b = 7.885 Å, c = 5.409 Å
α = 90.00°, β = 109.35°, γ = 90.00°
Atoms (fractional coordinates):
1 Sn 0.000 0.000 0.000
2 Sn 0.000 0.500 0.500
3 Pd 0.106 0.169 0.615
4 Pd 0.106 0.331 0.115
5 Pd 0.384 0.662 0.399
6 Pd 0.384 0.838 0.899
7 Pd 0.616 0.162 0.101
8 Pd 0.616 0.338 0.601
9 Pd 0.894 0.669 0.885
10 Pd 0.894 0.831 0.385
11 Pb 0.500 0.000 0.500
12 Pb 0.500 0.500 0.000

---

Entry 2:
Starting from a structure optimized by DFT (GGA-PBE), the X-ray powder pattern of Sr3Pd4Pb7 was computed for copper Kα.
Peak positions follow from Bragg's law for the DFT cell and can differ from measured ones.

Largest 10 diffraction maxima, low angle first, 5° ≤ 2θ ≤ 70°:
- 16.78°, rel. 39
- 30.68°, rel. 100
- 31.38°, rel. 91
- 34.15°, rel. 34
- 36.27°, rel. 47
- 37.65°, rel. 65
- 39.45°, rel. 20
- 42.68°, rel. 19
- 53.27°, rel. 32
- 59.53°, rel. 21

a = 9.288 Å, b = 9.288 Å, c = 10.573 Å
α = 122.82°, β = 122.82°, γ = 29.81°
Atoms (fractional coordinates):
1 Sr 0.000 0.000 0.000
2 Sr 0.314 0.314 0.306
3 Sr 0.686 0.686 0.694
4 Pd 0.122 0.122 0.848
5 Pd 0.338 0.338 0.723
6 Pd 0.662 0.662 0.277
7 Pd 0.878 0.878 0.152
8 Pb 0.000 0.000 0.500
9 Pb 0.165 0.165 0.426
10 Pb 0.314 0.314 0.962
11 Pb 0.497 0.497 0.723
12 Pb 0.503 0.503 0.277
13 Pb 0.686 0.686 0.038
14 Pb 0.835 0.835 0.574

---

Entry 3:
Starting from a structure optimized by DFT (GGA-PBE), the X-ray powder pattern of SrPd2Pb3 was computed for copper Kα.
Peak positions follow from Bragg's law for the DFT cell and can differ from measured ones.

Largest 10 diffraction maxima, low angle first, 5° ≤ 2θ ≤ 70°:
- 15.18°, rel. 42
- 27.53°, rel. 26
- 30.04°, rel. 100
- 31.44°, rel. 31
- 35.45°, rel. 29
- 38.04°, rel. 17
- 38.38°, rel. 56
- 38.83°, rel. 49
- 39.21°, rel. 35
- 40.22°, rel. 29

a = 9.614 Å, b = 9.614 Å, c = 11.700 Å
α = 110.66°, β = 110.66°, γ = 28.24°
Atoms (fractional coordinates):
1 Sr 0.000 0.000 0.000
2 Sr 0.162 0.162 0.695
3 Sr 0.838 0.838 0.305
4 Pd 0.197 0.197 0.128
5 Pd 0.366 0.366 0.559
6 Pd 0.473 0.473 0.208
7 Pd 0.527 0.527 0.792
8 Pd 0.634 0.634 0.441
9 Pd 0.803 0.803 0.872
10 Pb 0.034 0.034 0.335
11 Pb 0.216 0.216 0.386
12 Pb 0.322 0.322 0.043
13 Pb 0.377 0.377 0.814
14 Pb 0.500 0.500 0.500
15 Pb 0.623 0.623 0.186
16 Pb 0.678 0.678 0.957
17 Pb 0.784 0.784 0.614
18 Pb 0.966 0.966 0.665